Entry 1:
Computed PXRD pattern
Compound: NiPO4
Radiation: Cu Kα (weighted mean of Kα1 and Kα2)
Structure: a GGA+U-relaxed structure
Kinematic intensities with the Lorentz-polarization factor, no thermal factor.

a b c (Å): 10.1250 4.9749 6.8181
angles (deg): 90.00 90.00 90.00
Atoms (fractional coordinates):
Ni (0.1570, 0.1832, 0.0000)
Ni (0.3430, 0.6832, 0.5000)
Ni (0.6570, 0.3168, 0.0000)
Ni (0.8430, 0.8168, 0.5000)
P (0.0935, 0.6817, 0.7462)
P (0.4065, 0.1817, 0.2462)
P (0.5935, 0.8183, 0.7462)
P (0.9065, 0.3183, 0.2462)
O (0.0542, 0.2505, 0.2160)
O (0.1120, 0.3756, 0.7774)
O (0.1445, 0.8246, 0.9333)
O (0.1701, 0.7706, 0.5599)
O (0.3299, 0.2706, 0.0599)
O (0.3555, 0.3246, 0.4333)
O (0.3880, 0.8756, 0.2774)
O (0.4458, 0.7505, 0.7160)
O (0.5542, 0.2495, 0.2160)
O (0.6120, 0.1244, 0.7774)
O (0.6445, 0.6754, 0.9333)
O (0.6701, 0.7294, 0.5599)
O (0.8299, 0.2294, 0.0599)
O (0.8555, 0.1754, 0.4333)
O (0.8880, 0.6244, 0.2774)
O (0.9458, 0.7495, 0.7160)

Top 10 peaks for 10 to 90 degrees two-theta, by intensity:
- 21.87°, I = 100
- 22.12°, I = 98
- 36.11°, I = 22
- 31.64°, I = 21
- 35.46°, I = 21
- 23.82°, I = 18
- 33.06°, I = 14
- 28.35°, I = 14
- 36.55°, I = 12
- 61.29°, I = 10



Entry 2:
Computed PXRD pattern
Compound: Co2SiO4
Radiation: Cu Kα (weighted mean of Kα1 and Kα2)
Structure: a GGA+U-relaxed structure
Kinematic intensities with the Lorentz-polarization factor, no thermal factor.

a b c (Å): 7.7317 7.7317 7.7317
angles (deg): 135.76 82.54 114.42
Atoms (fractional coordinates):
Co (0.0000, 0.0000, 0.0000)
Co (0.1265, 0.0000, 0.6265)
Co (0.1265, 0.5000, 0.1265)
Co (0.2759, 0.0259, 0.2500)
Co (0.5000, 0.0000, 0.5000)
Co (0.7241, 0.9741, 0.7500)
Co (0.8735, 0.0000, 0.3735)
Co (0.8735, 0.5000, 0.8735)
Si (0.2384, 0.6170, 0.6214)
Si (0.4955, 0.6170, 0.8786)
Si (0.5045, 0.3830, 0.1214)
Si (0.7616, 0.3830, 0.3786)
O (0.0312, 0.7812, 0.2500)
O (0.1308, 0.2723, 0.3876)
O (0.1308, 0.7433, 0.8585)
O (0.2589, 0.7460, 0.5129)
O (0.2669, 0.2540, 0.0129)
O (0.3848, 0.2723, 0.6415)
O (0.3848, 0.7433, 0.1124)
O (0.4669, 0.7169, 0.7500)
O (0.5331, 0.2831, 0.2500)
O (0.6152, 0.2567, 0.8876)
O (0.6152, 0.7277, 0.3585)
O (0.7331, 0.7460, 0.9871)
O (0.7411, 0.2540, 0.4871)
O (0.8692, 0.2567, 0.1415)
O (0.8692, 0.7277, 0.6124)
O (0.9688, 0.2188, 0.7500)

Top 10 peaks for 10 to 90 degrees two-theta, by intensity:
- 36.18°, I = 100
- 44.03°, I = 95
- 63.40°, I = 90
- 33.48°, I = 66
- 33.00°, I = 52
- 18.56°, I = 48
- 43.21°, I = 44
- 37.65°, I = 43
- 40.22°, I = 41
- 13.03°, I = 39



Entry 3:
Computed PXRD pattern
Compound: Rb7GdFe6P8O34
Radiation: Cu Kα (weighted mean of Kα1 and Kα2)
Structure: a GGA+U-relaxed structure
Kinematic intensities with the Lorentz-polarization factor, no thermal factor.

a b c (Å): 9.3937 10.0145 10.0792
angles (deg): 90.79 95.25 116.26
Atoms (fractional coordinates):
Rb (0.0000, 0.0000, 0.0000)
Rb (0.1256, 0.9744, 0.3745)
Rb (0.1782, 0.4396, 0.9064)
Rb (0.4284, 0.7930, 0.6586)
Rb (0.5716, 0.2070, 0.3414)
Rb (0.8218, 0.5604, 0.0936)
Rb (0.8744, 0.0256, 0.6255)
Gd (0.0000, 0.5000, 0.5000)
Fe (0.3379, 0.0981, 0.7573)
Fe (0.3426, 0.4224, 0.2742)
Fe (0.3432, 0.8923, 0.0340)
Fe (0.6568, 0.1077, 0.9660)
Fe (0.6574, 0.5776, 0.7258)
Fe (0.6621, 0.9019, 0.2427)
P (0.0605, 0.7571, 0.7839)
P (0.2880, 0.3314, 0.5722)
P (0.3080, 0.7360, 0.3079)
P (0.4115, 0.2333, 0.0395)
P (0.5885, 0.7667, 0.9605)
P (0.6920, 0.2640, 0.6921)
P (0.7120, 0.6686, 0.4278)
P (0.9395, 0.2429, 0.2161)
O (0.0783, 0.6286, 0.7117)
O (0.1164, 0.2744, 0.2138)
O (0.1281, 0.7803, 0.9353)
O (0.1457, 0.9036, 0.7107)
O (0.1556, 0.3836, 0.5580)
O (0.2080, 0.7113, 0.4268)
O (0.2186, 0.1740, 0.6322)
O (0.2408, 0.8052, 0.1967)
O (0.2909, 0.5847, 0.2518)
O (0.3159, 0.2197, 0.8996)
O (0.3212, 0.0876, 0.1107)
O (0.3335, 0.3068, 0.4316)
O (0.4114, 0.3680, 0.1181)
O (0.4123, 0.7302, 0.9702)
O (0.4304, 0.4456, 0.6638)
O (0.4364, 0.0068, 0.8767)
O (0.4856, 0.8447, 0.3583)
O (0.5144, 0.1553, 0.6417)
O (0.5636, 0.9932, 0.1233)
O (0.5696, 0.5544, 0.3362)
O (0.5877, 0.2698, 0.0298)
O (0.5886, 0.6320, 0.8819)
O (0.6665, 0.6932, 0.5684)
O (0.6788, 0.9124, 0.8893)
O (0.6841, 0.7803, 0.1004)
O (0.7091, 0.4153, 0.7482)
O (0.7592, 0.1948, 0.8033)
O (0.7814, 0.8260, 0.3678)
O (0.7920, 0.2887, 0.5732)
O (0.8444, 0.6164, 0.4420)
O (0.8543, 0.0964, 0.2893)
O (0.8719, 0.2197, 0.0647)
O (0.8836, 0.7256, 0.7862)
O (0.9217, 0.3714, 0.2883)

Top 10 peaks for 10 to 90 degrees two-theta, by intensity:
- 29.15°, I = 100
- 29.44°, I = 97
- 27.72°, I = 89
- 30.52°, I = 61
- 26.41°, I = 55
- 28.33°, I = 54
- 25.18°, I = 45
- 31.20°, I = 40
- 12.84°, I = 28
- 21.65°, I = 27



Entry 4:
Computed PXRD pattern
Compound: Ni5P4O16
Radiation: Cu Kα (weighted mean of Kα1 and Kα2)
Structure: a GGA+U-relaxed structure
Kinematic intensities with the Lorentz-polarization factor, no thermal factor.

a b c (Å): 5.0671 8.2523 14.6945
angles (deg): 98.86 98.11 90.25
Atoms (fractional coordinates):
Ni (0.0000, 0.0000, 0.0000)
Ni (0.0161, 0.3532, 0.1188)
Ni (0.0549, 0.0260, 0.7026)
Ni (0.4474, 0.4749, 0.7969)
Ni (0.4823, 0.1469, 0.3816)
Ni (0.5000, 0.5000, 0.5000)
Ni (0.5177, 0.8531, 0.6184)
Ni (0.5526, 0.5251, 0.2031)
Ni (0.9451, 0.9740, 0.2974)
Ni (0.9839, 0.6468, 0.8812)
P (0.0318, 0.6246, 0.6492)
P (0.0424, 0.3201, 0.8942)
P (0.4603, 0.1800, 0.6058)
P (0.4686, 0.8748, 0.8498)
P (0.5314, 0.1252, 0.1502)
P (0.5397, 0.8200, 0.3942)
P (0.9576, 0.6799, 0.1058)
P (0.9682, 0.3754, 0.3508)
O (0.0550, 0.2472, 0.9849)
O (0.0691, 0.1896, 0.8126)
O (0.1003, 0.5726, 0.7475)
O (0.1054, 0.2054, 0.3364)
O (0.1611, 0.5013, 0.4127)
O (0.2043, 0.8559, 0.8906)
O (0.2090, 0.5718, 0.1237)
O (0.2439, 0.0354, 0.5916)
O (0.2596, 0.4644, 0.9080)
O (0.2874, 0.9266, 0.3764)
O (0.2971, 0.6420, 0.6087)
O (0.3411, 0.9995, 0.0870)
O (0.3921, 0.2945, 0.1653)
O (0.4001, 0.9271, 0.7516)
O (0.4311, 0.3101, 0.6873)
O (0.4436, 0.2535, 0.5150)
O (0.5564, 0.7465, 0.4850)
O (0.5689, 0.6899, 0.3127)
O (0.5999, 0.0729, 0.2484)
O (0.6079, 0.7055, 0.8347)
O (0.6589, 0.0005, 0.9130)
O (0.7029, 0.3580, 0.3913)
O (0.7126, 0.0734, 0.6236)
O (0.7404, 0.5356, 0.0920)
O (0.7561, 0.9646, 0.4084)
O (0.7910, 0.4282, 0.8763)
O (0.7957, 0.1441, 0.1094)
O (0.8389, 0.4987, 0.5873)
O (0.8946, 0.7946, 0.6636)
O (0.8997, 0.4274, 0.2525)
O (0.9309, 0.8104, 0.1874)
O (0.9450, 0.7528, 0.0151)

Top 10 peaks for 10 to 90 degrees two-theta, by intensity:
- 19.98°, I = 100
- 19.57°, I = 100
- 35.81°, I = 58
- 29.22°, I = 51
- 38.09°, I = 45
- 28.34°, I = 44
- 33.08°, I = 40
- 13.30°, I = 38
- 24.78°, I = 35
- 27.95°, I = 35



Entry 5:
Computed PXRD pattern
Compound: Li7Mn8B8O24
Radiation: Cu Kα (weighted mean of Kα1 and Kα2)
Structure: a GGA+U-relaxed structure
Kinematic intensities with the Lorentz-polarization factor, no thermal factor.

a b c (Å): 5.2493 9.1467 11.5383
angles (deg): 68.52 77.82 89.90
Atoms (fractional coordinates):
Li (0.0000, 0.0000, 0.0000)
Li (0.0109, 0.0382, 0.2664)
Li (0.2092, 0.2673, 0.5041)
Li (0.2560, 0.2981, 0.7529)
Li (0.4956, 0.4986, 0.0039)
Li (0.5172, 0.5435, 0.2554)
Li (0.7140, 0.7645, 0.5079)
Mn (0.2123, 0.9133, 0.5370)
Mn (0.2449, 0.6186, 0.7904)
Mn (0.4669, 0.8194, 0.0327)
Mn (0.4996, 0.2008, 0.2848)
Mn (0.7038, 0.4127, 0.5391)
Mn (0.7492, 0.1011, 0.7825)
Mn (0.9762, 0.3188, 0.0352)
Mn (0.9935, 0.6985, 0.2863)
B (0.1961, 0.5747, 0.5437)
B (0.2650, 0.9510, 0.7820)
B (0.4641, 0.1415, 0.0465)
B (0.4869, 0.8581, 0.3021)
B (0.7133, 0.0770, 0.5329)
B (0.7429, 0.4293, 0.7991)
B (0.9519, 0.6470, 0.0475)
B (0.9928, 0.3637, 0.2954)
O (0.0550, 0.7679, 0.0760)
O (0.1220, 0.5526, 0.0022)
O (0.1312, 0.0739, 0.7996)
O (0.1738, 0.8583, 0.7218)
O (0.1958, 0.1207, 0.0631)
O (0.2465, 0.3678, 0.3109)
O (0.3006, 0.4320, 0.5584)
O (0.3153, 0.9607, 0.3432)
O (0.3270, 0.6869, 0.5726)
O (0.3934, 0.7554, 0.2548)
O (0.4680, 0.1053, 0.5003)
O (0.4863, 0.9093, 0.8285)
O (0.5656, 0.2575, 0.0815)
O (0.5970, 0.5414, 0.8238)
O (0.6329, 0.0473, 0.0007)
O (0.6435, 0.3301, 0.7479)
O (0.6843, 0.6222, 0.0665)
O (0.7420, 0.8656, 0.3115)
O (0.8227, 0.4690, 0.3265)
O (0.8278, 0.1836, 0.5712)
O (0.8371, 0.9483, 0.5257)
O (0.9043, 0.2540, 0.2521)
O (0.9640, 0.6083, 0.5034)
O (0.9935, 0.4098, 0.8269)

Top 10 peaks for 10 to 90 degrees two-theta, by intensity:
- 34.30°, I = 100
- 19.49°, I = 80
- 21.51°, I = 66
- 25.48°, I = 55
- 21.30°, I = 43
- 34.17°, I = 35
- 48.48°, I = 31
- 34.04°, I = 30
- 34.00°, I = 28
- 40.10°, I = 26



Entry 6:
Computed PXRD pattern
Compound: CaNi2P2O10
Radiation: Cu Kα (weighted mean of Kα1 and Kα2)
Structure: a GGA+U-relaxed structure
Kinematic intensities with the Lorentz-polarization factor, no thermal factor.

a b c (Å): 9.8563 8.3406 7.2682
angles (deg): 77.98 55.86 46.16
Atoms (fractional coordinates):
Ca (0.1250, 0.1250, 0.1250)
Ca (0.8750, 0.8750, 0.8750)
Ni (0.0000, 0.5000, 0.5000)
Ni (0.5000, 0.0000, 0.5000)
Ni (0.5000, 0.5000, 0.0000)
Ni (0.5000, 0.5000, 0.5000)
P (0.0815, 0.0815, 0.6685)
P (0.3315, 0.3315, 0.9185)
P (0.6685, 0.6685, 0.0815)
P (0.9185, 0.9185, 0.3315)
O (0.0638, 0.2151, 0.4858)
O (0.1096, 0.4287, 0.1672)
O (0.1672, 0.7945, 0.1096)
O (0.2055, 0.8328, 0.5713)
O (0.2151, 0.0638, 0.7353)
O (0.2647, 0.5142, 0.7849)
O (0.3327, 0.3327, 0.4173)
O (0.4173, 0.4173, 0.3327)
O (0.4287, 0.1096, 0.7945)
O (0.4858, 0.7353, 0.0638)
O (0.5142, 0.2647, 0.9362)
O (0.5713, 0.8904, 0.2055)
O (0.5827, 0.5827, 0.6673)
O (0.6673, 0.6673, 0.5827)
O (0.7353, 0.4858, 0.2151)
O (0.7849, 0.9362, 0.2647)
O (0.7945, 0.1672, 0.4287)
O (0.8328, 0.2055, 0.8904)
O (0.8904, 0.5713, 0.8328)
O (0.9362, 0.7849, 0.5142)

Top 10 peaks for 10 to 90 degrees two-theta, by intensity:
- 25.21°, I = 100
- 30.35°, I = 88
- 31.20°, I = 79
- 33.01°, I = 69
- 37.55°, I = 63
- 28.80°, I = 52
- 15.45°, I = 36
- 57.33°, I = 34
- 46.50°, I = 32
- 51.77°, I = 29



Entry 7:
Computed PXRD pattern
Compound: Ba2AlV3O8
Radiation: Cu Kα (weighted mean of Kα1 and Kα2)
Structure: a GGA+U-relaxed structure
Kinematic intensities with the Lorentz-polarization factor, no thermal factor.

a b c (Å): 3.8300 4.0090 11.8696
angles (deg): 90.00 90.00 90.00
Atoms (fractional coordinates):
Ba (0.0000, 0.0000, 0.1673)
Ba (0.0000, 0.0000, 0.8327)
Al (0.0000, 0.0000, 0.5000)
V (0.5000, 0.5000, 0.0000)
V (0.5000, 0.5000, 0.3495)
V (0.5000, 0.5000, 0.6505)
O (0.0000, 0.5000, 0.0000)
O (0.0000, 0.5000, 0.3962)
O (0.0000, 0.5000, 0.6038)
O (0.5000, 0.0000, 0.0000)
O (0.5000, 0.0000, 0.3933)
O (0.5000, 0.0000, 0.6067)
O (0.5000, 0.5000, 0.1898)
O (0.5000, 0.5000, 0.8102)

Top 10 peaks for 10 to 90 degrees two-theta, by intensity:
- 31.78°, I = 100
- 32.54°, I = 95
- 32.33°, I = 81
- 57.23°, I = 46
- 56.82°, I = 37
- 39.73°, I = 36
- 45.24°, I = 35
- 58.26°, I = 34
- 47.48°, I = 30
- 35.78°, I = 23



Entry 8:
Computed PXRD pattern
Compound: Li5V5Ni2O12
Radiation: Cu Kα (weighted mean of Kα1 and Kα2)
Structure: a GGA+U-relaxed structure
Kinematic intensities with the Lorentz-polarization factor, no thermal factor.

a b c (Å): 5.1703 5.1703 9.8949
angles (deg): 94.87 94.87 119.81
Atoms (fractional coordinates):
Li (0.0000, 0.0000, 0.0000)
Li (0.2413, 0.2599, 0.7630)
Li (0.3904, 0.0660, 0.2367)
Li (0.7401, 0.7587, 0.2370)
Li (0.9340, 0.6096, 0.7633)
V (0.0754, 0.4068, 0.2403)
V (0.1628, 0.8372, 0.5000)
V (0.5018, 0.4982, 0.5000)
V (0.5932, 0.9246, 0.7597)
V (0.6534, 0.3466, 0.0000)
Ni (0.3254, 0.6746, 0.0000)
Ni (0.8325, 0.1675, 0.5000)
O (0.0236, 0.6922, 0.1208)
O (0.1333, 0.1378, 0.3826)
O (0.2289, 0.5637, 0.6219)
O (0.3078, 0.9764, 0.8792)
O (0.3631, 0.3866, 0.1253)
O (0.4363, 0.7711, 0.3781)
O (0.5272, 0.1915, 0.6171)
O (0.6134, 0.6369, 0.8747)
O (0.7096, 0.0737, 0.1279)
O (0.8085, 0.4728, 0.3829)
O (0.8622, 0.8667, 0.6174)
O (0.9263, 0.2904, 0.8721)

Top 10 peaks for 10 to 90 degrees two-theta, by intensity:
- 42.90°, I = 100
- 62.08°, I = 54
- 42.63°, I = 50
- 18.19°, I = 42
- 36.85°, I = 39
- 23.21°, I = 37
- 62.28°, I = 27
- 78.42°, I = 24
- 19.85°, I = 23
- 31.64°, I = 15